(1)
This entry pairs a crystal structure of Zr3Hg3N with its simulated powder XRD pattern. Radiation: copper Kα. Structure: a DFT-relaxed cell (PBE, Alexandria).
Peak positions follow from Bragg's law for the DFT cell and can differ from measured ones.

Atomic structure:
```
Zr3Hg3N
1.0
0.000 6.451 6.451
6.451 0.000 6.451
6.451 6.451 0.000
Zr Hg N
12 12 4
direct
0.051 0.051 0.699 Zr
0.051 0.699 0.051 Zr
0.051 0.699 0.699 Zr
0.301 0.301 0.949 Zr
0.301 0.949 0.301 Zr
0.301 0.949 0.949 Zr
0.699 0.051 0.051 Zr
0.699 0.051 0.699 Zr
0.699 0.699 0.051 Zr
0.949 0.301 0.301 Zr
0.949 0.301 0.949 Zr
0.949 0.949 0.301 Zr
0.000 0.500 0.500 Hg
0.284 0.284 0.284 Hg
0.284 0.284 0.647 Hg
0.284 0.647 0.284 Hg
0.353 0.716 0.716 Hg
0.500 0.000 0.500 Hg
0.500 0.500 0.000 Hg
0.500 0.500 0.500 Hg
0.647 0.284 0.284 Hg
0.716 0.353 0.716 Hg
0.716 0.716 0.353 Hg
0.716 0.716 0.716 Hg
0.000 0.000 0.000 N
0.000 0.000 0.500 N
0.000 0.500 0.000 N
0.500 0.000 0.000 N
```

The 10 most intense peaks (10° ≤ 2θ ≤ 90°), low angle first:
| 2θ/deg | I (rel.) |
| --- | --- |
| 11.88 | 30.5 |
| 27.66 | 22.2 |
| 34.04 | 18.0 |
| 36.18 | 100.0 |
| 39.51 | 31.9 |
| 41.40 | 15.4 |
| 42.02 | 13.4 |
| 60.93 | 24.0 |
| 66.41 | 11.9 |
| 72.96 | 19.6 |



(2)
This entry pairs a crystal structure of Na3Hg8 with its simulated powder XRD pattern. Radiation: copper Kα. Structure: a DFT-relaxed cell (PBE, Alexandria).
Peak positions follow from Bragg's law for the DFT cell and can differ from measured ones.

Atomic structure:
```
Na3Hg8
1.0
2.613 1.509 11.927
-2.613 1.509 11.927
0.000 -3.017 11.927
Na Hg
3 8
direct
0.000 0.000 0.000 Na
0.451 0.451 0.451 Na
0.549 0.549 0.549 Na
0.089 0.089 0.089 Hg
0.177 0.177 0.177 Hg
0.271 0.271 0.271 Hg
0.361 0.361 0.361 Hg
0.639 0.639 0.639 Hg
0.729 0.729 0.729 Hg
0.823 0.823 0.823 Hg
0.911 0.911 0.911 Hg
```

The 10 most intense peaks (10° ≤ 2θ ≤ 90°), low angle first:
| 2θ/deg | I (rel.) |
| --- | --- |
| 20.24 | 26.7 |
| 22.01 | 12.6 |
| 33.94 | 98.1 |
| 34.32 | 100.0 |
| 49.04 | 35.3 |
| 60.49 | 16.4 |
| 61.22 | 36.6 |
| 61.46 | 19.0 |
| 81.70 | 14.3 |
| 82.34 | 16.3 |